# 1
For Li6Er2O7, a DFT-relaxed cell (GGA-PBE, OQMD) gives the theoretical powder X-ray diffraction pattern in this record (Cu Kα, 1.54184 Å).

Largest 12 diffraction maxima, low angle first, 10° ≤ 2θ ≤ 90°:
two_theta  I_rel
15.29  100
16.61  44
19.09  16
21.73  22
22.96  32
26.12  22
27.15  22
29.49  27
40.07  22
40.79  20
42.18  18
58.50  19

Cell and atoms:
```
Li6Er2O7
1.0
5.428 0.000 0.000
0.996 5.428 0.000
0.195 1.937 5.795
Li Er O
6 2 7
Cartesian
0.613 2.122 2.493
2.753 4.303 1.811
2.948 5.554 4.836
3.671 1.811 0.959
3.866 3.062 3.984
6.006 5.242 3.302
1.181 3.145 5.384
5.438 4.220 0.411
1.261 6.851 4.336
1.811 2.884 0.804
2.118 4.032 3.615
2.714 0.000 0.000
4.501 3.333 2.180
4.808 4.481 4.991
5.358 0.514 1.459
```

---

# 2
For Li8Er4O11, a DFT-relaxed cell (GGA-PBE, OQMD) gives the theoretical powder X-ray diffraction pattern in this record (Cu Kα, 1.54184 Å).

Largest 12 diffraction maxima, low angle first, 10° ≤ 2θ ≤ 90°:
two_theta  I_rel
18.45  100
18.66  37
19.08  24
19.46  17
21.67  18
26.55  20
31.66  26
32.63  24
33.32  24
39.54  31
40.89  24
41.86  20

Cell and atoms:
```
Li8Er4O11
1.0
5.234 0.000 0.000
1.160 5.384 0.000
1.871 0.451 9.303
Li Er O
8 4 11
Cartesian
0.000 0.000 0.000
1.189 1.319 4.455
2.991 4.320 2.087
3.627 3.138 4.793
3.013 1.383 0.434
5.706 4.684 8.860
5.587 1.701 6.936
6.557 4.255 5.894
3.052 3.113 7.868
2.994 0.330 6.344
3.948 0.553 3.193
5.563 2.840 1.623
0.910 0.833 2.522
2.109 2.351 5.916
2.079 3.443 0.461
3.407 5.066 4.323
3.885 1.104 8.201
3.743 2.594 2.895
4.776 3.623 6.563
4.782 4.880 1.303
4.805 0.675 5.195
6.609 2.505 9.182
7.524 5.126 7.483
```

---

# 3
For Li4ErPaO6, a DFT-relaxed cell (GGA-PBE, OQMD) gives the theoretical powder X-ray diffraction pattern in this record (Cu Kα, 1.54184 Å).

Largest 12 diffraction maxima, low angle first, 10° ≤ 2θ ≤ 90°:
two_theta  I_rel
17.86  100
18.27  25
19.18  43
21.89  33
25.66  25
32.48  69
34.20  26
40.19  46
40.36  23
44.42  19
56.86  24
60.15  17

Cell and atoms:
```
Li4ErPaO6
1.0
2.806 -4.856 0.000
2.806 4.856 0.000
-1.841 0.000 4.967
Li Er Pa O
4 1 1 6
Cartesian
0.000 0.000 0.000
1.885 3.449 2.483
1.885 0.110 2.483
1.885 -3.524 2.483
2.806 1.634 0.000
2.806 -1.624 0.000
0.941 1.652 1.207
0.065 -0.006 3.734
0.970 -1.617 1.179
2.830 1.652 3.760
3.705 -0.006 1.232
2.800 -1.617 3.788
```

---

# 4
For Li4ErTaO6, a DFT-relaxed cell (GGA-PBE, OQMD) gives the theoretical powder X-ray diffraction pattern in this record (Cu Kα, 1.54184 Å).

Largest 12 diffraction maxima, low angle first, 10° ≤ 2θ ≤ 90°:
two_theta  I_rel
18.16  100
18.99  23
19.95  40
22.55  30
26.39  20
33.78  61
35.45  35
41.57  65
45.70  25
55.56  17
61.15  19
62.58  22

Cell and atoms:
```
Li4ErTaO6
1.0
2.699 -4.673 0.000
2.699 4.673 0.000
-1.806 0.000 4.885
Li Er Ta O
4 1 1 6
Cartesian
0.000 0.000 0.000
2.699 1.273 0.000
2.699 -1.771 0.000
1.796 -3.276 2.442
1.796 2.960 2.442
1.796 -0.160 2.442
0.984 1.288 1.271
0.140 -0.141 3.570
0.976 -1.566 1.285
2.607 1.288 3.614
3.451 -0.141 1.315
2.615 -1.566 3.600
```

---

# 5
For Li3SmEr2Pb3, a DFT-relaxed cell (GGA-PBE, OQMD) gives the theoretical powder X-ray diffraction pattern in this record (Cu Kα, 1.54184 Å).

Largest 12 diffraction maxima, low angle first, 10° ≤ 2θ ≤ 90°:
two_theta  I_rel
21.52  13
23.00  38
27.00  38
32.66  100
37.73  65
46.79  12
50.74  30
64.07  25
64.93  28
68.12  12
88.91  11
89.69  13

Cell and atoms:
```
Li3SmEr2Pb3
1.0
4.768 0.000 0.000
-2.384 4.130 0.000
0.000 0.000 10.999
Li Sm Er Pb
3 1 2 3
Cartesian
0.000 0.000 0.000
0.000 2.753 3.356
0.000 2.753 7.643
2.384 1.376 5.500
2.384 1.376 1.780
2.384 1.376 9.219
0.000 0.000 3.526
0.000 0.000 7.473
0.000 2.753 0.000
```

---

# 6
For SrLi3Er2Pb3, a DFT-relaxed cell (GGA-PBE, OQMD) gives the theoretical powder X-ray diffraction pattern in this record (Cu Kα, 1.54184 Å).

Largest 12 diffraction maxima, low angle first, 10° ≤ 2θ ≤ 90°:
two_theta  I_rel
22.69  38
26.48  66
31.87  100
37.31  74
45.38  22
46.34  15
49.87  29
60.94  14
62.28  17
63.90  28
67.30  14
69.79  16

Cell and atoms:
```
SrLi3Er2Pb3
1.0
4.820 0.000 0.000
-2.410 4.174 0.000
0.000 0.000 11.384
Sr Li Er Pb
1 3 2 3
Cartesian
0.000 0.000 0.000
0.000 2.783 5.692
2.410 1.391 2.374
2.410 1.391 9.010
0.000 0.000 3.873
0.000 0.000 7.510
0.000 2.783 2.276
0.000 2.783 9.107
2.410 1.391 5.692
```

---

# 7
For Li3TbEr2Pb3, a DFT-relaxed cell (GGA-PBE, OQMD) gives the theoretical powder X-ray diffraction pattern in this record (Cu Kα, 1.54184 Å).

Largest 12 diffraction maxima, low angle first, 10° ≤ 2θ ≤ 90°:
two_theta  I_rel
21.48  13
23.02  40
27.15  34
32.98  100
37.67  66
47.48  9
50.92  30
64.85  26
65.04  29
67.99  12
89.54  12
89.70  13

Cell and atoms:
```
Li3TbEr2Pb3
1.0
4.776 0.000 0.000
-2.388 4.136 0.000
0.000 0.000 10.803
Li Tb Er Pb
3 1 2 3
Cartesian
0.000 0.000 0.000
0.000 2.758 3.340
0.000 2.758 7.463
2.388 1.379 5.401
2.388 1.379 1.768
2.388 1.379 9.035
0.000 0.000 3.515
0.000 0.000 7.288
0.000 2.758 0.000
```

---

# 8
For SrLiErTe3, a DFT-relaxed cell (GGA-PBE, OQMD) gives the theoretical powder X-ray diffraction pattern in this record (Cu Kα, 1.54184 Å).

Largest 12 diffraction maxima, low angle first, 10° ≤ 2θ ≤ 90°:
two_theta  I_rel
19.76  21
27.96  100
29.01  58
29.62  35
34.16  30
38.90  33
40.73  53
40.99  29
49.24  24
50.99  26
57.78  18
65.94  20

Cell and atoms:
```
SrLiErTe3
1.0
9.517 -2.202 0.000
9.517 2.202 0.000
-2.241 0.000 8.988
Sr Li Er Te
2 2 2 6
Cartesian
2.399 0.000 0.589
14.393 0.000 8.398
8.730 0.000 2.702
8.062 0.000 6.286
1.846 0.000 5.277
14.946 0.000 3.711
-1.121 0.000 4.494
5.727 0.000 1.630
4.877 0.000 5.777
9.517 0.000 0.000
11.915 0.000 3.211
11.065 0.000 7.358
```

---

# 9
For SrLiErTe3, a DFT-relaxed cell (GGA-PBE, OQMD) gives the theoretical powder X-ray diffraction pattern in this record (Cu Kα, 1.54184 Å).

Largest 12 diffraction maxima, low angle first, 10° ≤ 2θ ≤ 90°:
two_theta  I_rel
11.96  19
23.01  32
26.20  47
29.52  100
30.04  39
32.68  27
33.80  19
37.45  21
40.98  32
41.68  29
44.34  21
49.28  24

Cell and atoms:
```
SrLiErTe3
1.0
8.393 0.000 0.000
0.000 4.405 0.000
-2.929 0.000 10.205
Sr Li Er Te
2 2 2 6
Cartesian
1.220 1.101 3.021
4.244 3.304 7.184
-1.023 1.101 6.019
6.487 3.304 4.187
0.133 3.304 8.588
5.331 1.101 1.617
-1.954 1.101 8.598
0.609 3.304 5.529
3.183 3.304 1.455
2.281 1.101 8.750
4.855 1.101 4.676
7.418 3.304 1.607
```

---

# 10
For ErLu, a DFT-relaxed cell (GGA-PBE, OQMD) gives the theoretical powder X-ray diffraction pattern in this record (Cu Kα, 1.54184 Å).

Largest 12 diffraction maxima, low angle first, 10° ≤ 2θ ≤ 90°:
two_theta  I_rel
29.19  24
32.58  24
33.52  100
44.30  15
51.75  20
58.74  20
62.50  22
63.08  16
70.44  4
75.91  3
82.07  8
85.88  14

Cell and atoms:
```
ErLu
1.0
5.496 0.000 0.000
0.000 7.066 0.000
0.000 0.000 12.239
Er Lu
8 8
Cartesian
0.000 0.000 0.000
0.000 1.762 9.179
0.000 1.771 3.059
0.000 3.533 6.119
0.000 5.295 3.059
0.000 5.304 9.179
2.748 0.000 4.081
2.748 3.533 10.201
0.000 0.000 6.125
0.000 3.533 0.006
2.748 0.000 10.195
2.748 1.762 7.143
2.748 1.772 1.023
2.748 3.533 4.075
2.748 5.295 1.023
2.748 5.305 7.143
```

---

# 11
For Er7Lu, a DFT-relaxed cell (GGA-PBE, OQMD) gives the theoretical powder X-ray diffraction pattern in this record (Cu Kα, 1.54184 Å).

Largest 12 diffraction maxima, low angle first, 10° ≤ 2θ ≤ 90°:
two_theta  I_rel
28.96  24
32.42  24
33.28  100
44.02  15
51.32  20
58.39  20
62.03  22
62.55  16
69.88  4
81.43  8
85.08  14
89.93  9

Cell and atoms:
```
Er7Lu
1.0
7.121 0.000 0.000
-3.560 6.167 0.000
0.000 0.000 5.522
Er Lu
7 1
Cartesian
0.000 0.000 0.000
5.339 3.082 0.000
0.000 2.053 2.761
-1.783 5.140 2.761
3.560 0.002 0.000
1.782 3.082 0.000
1.783 5.140 2.761
3.560 2.056 2.761
```

---

# 12
For ErLu, a DFT-relaxed cell (GGA-PBE, OQMD) gives the theoretical powder X-ray diffraction pattern in this record (Cu Kα, 1.54184 Å).

Largest 12 diffraction maxima, low angle first, 10° ≤ 2θ ≤ 90°:
two_theta  I_rel
29.14  24
32.64  24
33.49  100
44.32  15
51.66  20
58.80  20
62.46  22
62.98  16
70.38  4
76.01  3
82.05  8
85.73  14

Cell and atoms:
```
ErLu
1.0
5.487 0.000 0.000
0.000 12.257 0.000
0.000 0.000 7.078
Er Lu
8 8
Cartesian
1.372 1.021 0.000
1.372 4.083 5.310
1.372 7.149 3.539
1.372 10.211 1.772
4.115 2.046 1.772
4.115 5.108 3.539
4.115 8.174 5.310
4.115 11.236 0.000
1.372 1.022 3.547
1.372 4.089 1.775
1.372 7.151 0.009
1.372 10.218 5.314
4.115 2.039 5.314
4.115 5.106 0.009
4.115 8.168 1.775
4.115 11.234 3.547
```

---

# 13
For Er3Lu5, a DFT-relaxed cell (GGA-PBE, OQMD) gives the theoretical powder X-ray diffraction pattern in this record (Cu Kα, 1.54184 Å).

Largest 12 diffraction maxima, low angle first, 10° ≤ 2θ ≤ 90°:
two_theta  I_rel
29.22  24
32.67  24
33.57  100
44.40  15
51.81  20
58.89  20
62.61  22
63.17  16
70.56  4
76.12  3
82.24  8
86.01  14

Cell and atoms:
```
Er3Lu5
1.0
5.482 0.000 0.000
0.000 7.057 0.000
0.000 0.000 12.226
Er Lu
6 10
Cartesian
0.000 0.000 0.000
0.000 0.000 6.114
0.000 3.529 0.001
0.000 3.529 6.113
2.741 0.000 2.044
2.741 3.529 8.157
0.000 1.767 3.066
0.000 1.762 9.179
0.000 5.291 3.066
0.000 5.295 9.179
2.741 0.000 8.160
2.741 1.760 11.207
2.741 1.768 5.094
2.741 3.529 2.047
2.741 5.289 5.094
2.741 5.297 11.207
```